Diffraction record for Li10Mn5Fe3O16. The powder X-ray diffraction pattern is computed, not measured: it uses the GGA+U geometry in the Materials Project and CuKα.
Kinematic intensities with the Lorentz-polarization factor, no thermal factor.

Atomic structure:
```
data_Li10Mn5Fe3O16
_chemical_formula_sum 'Li10 Mn5 Fe3 O16'
_cell_length_a 5.9679
_cell_length_b 6.0302
_cell_length_c 10.0219
_cell_angle_alpha 90.92
_cell_angle_beta 90.47
_cell_angle_gamma 118.88
_space_group_name_H-M_alt 'P 1'
_space_group_IT_number 1
loop_
_space_group_symop_operation_xyz
'x,y,z'
loop_
_atom_site_label
_atom_site_fract_x
_atom_site_fract_y
_atom_site_fract_z
Li1 0.0000 0.0000 0.0000
Li2 0.0029 0.9821 0.4949
Li3 0.1894 0.3809 0.0818
Li4 0.1969 0.7985 0.0735
Li5 0.3336 0.6596 0.2892
Li6 0.3871 0.1718 0.5795
Li7 0.6012 0.7772 0.0718
Li8 0.6709 0.3275 0.7913
Li9 0.7877 0.5890 0.5701
Li10 0.8020 0.1730 0.5793
Mn1 0.3292 0.6460 0.5387
Mn2 0.6655 0.3195 0.0420
Mn3 0.6653 0.8229 0.8001
Mn4 0.8279 0.1534 0.3018
Mn5 0.8292 0.6484 0.3000
Fe1 0.1678 0.8212 0.8005
Fe2 0.1711 0.3284 0.8018
Fe3 0.3330 0.1531 0.3017
O1 0.0088 0.4943 0.6838
O2 0.0096 0.0190 0.1863
O3 0.0245 0.0020 0.6813
O4 0.1497 0.2962 0.4121
O5 0.1634 0.8294 0.4055
O6 0.3113 0.6464 0.9250
O7 0.3159 0.1474 0.9184
O8 0.4941 0.9664 0.6877
O9 0.4949 0.4940 0.6895
O10 0.4996 0.4731 0.1917
O11 0.5080 0.0027 0.1891
O12 0.6505 0.2859 0.4209
O13 0.6759 0.7906 0.4235
O14 0.8331 0.1468 0.9111
O15 0.8330 0.6807 0.9160
O16 0.9868 0.5037 0.1796
```

Largest 8 diffraction maxima, low angle first, 2θ = 15–90°:
17.71 deg, I = 100; 19.32 deg, I = 67; 34.92 deg, I = 35; 35.36 deg, I = 34; 35.89 deg, I = 41; 43.20 deg, I = 28; 44.23 deg, I = 51; 44.42 deg, I = 48